[1]
For Tb2SmMg2In2, a crystal structure in Alexandria, relaxed with GGA-PBE gives the computed PXRD pattern in this record (Cu Kα).
No peak broadening, texture or thermal motion is included.

Principal peaks in the range 2θ = 15–90°, low angle first:
d/Å, 2theta, Rel. int., index
4.292, 20.69, 20, 1 0 1
3.630, 24.53, 40, 1 0 4
2.846, 31.43, 76, 1 0 7
2.625, 34.15, 55, 0 1 8
2.512, 35.75, 100, 1 1 0
1.883, 48.33, 23, 0 2 7
1.815, 50.27, 18, 2 0 8
1.507, 61.55, 22, 2 1 7
1.471, 63.21, 18, 1 2 8
1.439, 64.78, 31, 1 1 15

Structure:
```
data_Tb2SmMg2In2
_symmetry_space_group_name_H-M 'R -3 m'
_symmetry_Int_Tables_number 166
_symmetry_space_group_name_Hall '-R 3 2"'
_cell_length_a 5.0232
_cell_length_b 5.0232
_cell_length_c 26.3396
_cell_angle_alpha 90.00
_cell_angle_beta 90.00
_cell_angle_gamma 120.00
loop_
_atom_site_label
_atom_site_type_symbol
_atom_site_fract_x
_atom_site_fract_y
_atom_site_fract_z
Tb1 Tb 0.0000 0.0000 0.1293
Sm1 Sm 0.0000 0.0000 0.0000
Mg1 Mg 0.0000 0.0000 0.2661
In1 In 0.0000 0.0000 0.4038
```

[2]
For MgIn14Sn, a crystal structure in Alexandria, relaxed with GGA-PBE gives the computed PXRD pattern in this record (Cu Kα).
No peak broadening, texture or thermal motion is included.

Principal peaks in the range 2θ = 15–90°, low angle first:
d/Å, 2theta, Rel. int., index
2.799, 31.98, 36, 1 2 2
2.789, 32.09, 19, 1 0 4
2.770, 32.32, 52, 4 0 0
2.564, 35.00, 100, 2 2 2
2.556, 35.10, 46, 2 0 4
2.275, 39.61, 30, 3 0 4
1.758, 52.01, 14, 5 0 4
1.666, 55.14, 22, 0 2 6
1.556, 59.38, 21, 6 2 2
1.428, 65.37, 28, 4 2 6

Structure:
```
data_MgIn14Sn
_symmetry_space_group_name_H-M 'A m m 2'
_symmetry_Int_Tables_number 38
_symmetry_space_group_name_Hall 'A 2 -2'
_cell_length_a 11.080
_cell_length_b 6.688
_cell_length_c 11.526
_cell_angle_alpha 90.00
_cell_angle_beta 90.00
_cell_angle_gamma 90.00
loop_
_atom_site_label
_atom_site_type_symbol
_atom_site_fract_x
_atom_site_fract_y
_atom_site_fract_z
Mg1 Mg 0.000 0.000 0.000
In1 In 0.000 0.250 0.249
In2 In 0.246 0.000 0.833
In3 In 0.247 0.249 0.082
In4 In 0.253 0.000 0.331
In5 In 0.500 0.000 0.161
In6 In 0.500 0.000 0.663
In7 In 0.500 0.248 0.912
Sn1 Sn 0.000 0.000 0.497
```